No. 1
This entry pairs a crystal structure of Nd3AsS with its simulated powder diffractogram. Radiation: Cu Kα X-rays. Structure: a cell relaxed with GGA-PBE.
Neutral-atom scattering factors, no anomalous dispersion.

Main lines, low angle first (10 to 90 degrees two-theta):
23.7 deg, rel. 20
26.2 deg, rel. 68
35.6 deg, rel. 100
46.2 deg, rel. 28
52.6 deg, rel. 14
53.9 deg, rel. 9
56.0 deg, rel. 17
59.7 deg, rel. 22
69.3 deg, rel. 17
78.7 deg, rel. 20

Structure:
Unit cell a=6.806 b=6.806 c=3.747 alpha=90.00 beta=90.00 gamma=120.00
Fractional coordinates of all 5 atoms:
Nd: 0.007 0.669 0.000
Nd: 0.331 0.338 0.000
Nd: 0.662 0.993 0.000
As: 0.667 0.333 0.500
S: 0.333 0.667 0.500

No. 2
This entry pairs a crystal structure of Nd3AsS2 with its simulated powder diffractogram. Radiation: Cu Kα X-rays. Structure: a cell relaxed with GGA-PBE.
Neutral-atom scattering factors, no anomalous dispersion.

Main lines, low angle first (10 to 90 degrees two-theta):
26.3 deg, rel. 47
30.5 deg, rel. 100
43.7 deg, rel. 73
51.8 deg, rel. 24
54.2 deg, rel. 26
63.5 deg, rel. 12
70.0 deg, rel. 10
72.1 deg, rel. 33
80.3 deg, rel. 25
86.3 deg, rel. 7

Structure:
Unit cell a=7.178 b=7.178 c=7.178 alpha=146.46 beta=131.85 gamma=59.95
Fractional coordinates of all 6 atoms:
Nd: 0.000 0.000 0.000
Nd: 0.332 0.332 0.000
Nd: 0.668 0.668 0.000
As: 0.500 0.000 0.500
S: 0.166 0.666 0.500
S: 0.834 0.334 0.500

No. 3
This entry pairs a crystal structure of Nd5AsS5 with its simulated powder diffractogram. Radiation: Cu Kα X-rays. Structure: a cell relaxed with GGA-PBE.
Neutral-atom scattering factors, no anomalous dispersion.

Main lines, low angle first (10 to 90 degrees two-theta):
16.9 deg, rel. 12
26.6 deg, rel. 46
30.8 deg, rel. 100
44.0 deg, rel. 12
44.1 deg, rel. 60
52.2 deg, rel. 15
54.7 deg, rel. 13
54.8 deg, rel. 13
72.8 deg, rel. 16
81.1 deg, rel. 16

Structure:
Unit cell a=7.113 b=7.113 c=8.237 alpha=106.81 beta=106.81 gamma=48.13
Fractional coordinates of all 11 atoms:
Nd: 0.000 0.000 0.000
Nd: 0.334 0.334 0.661
Nd: 0.339 0.339 0.177
Nd: 0.661 0.661 0.823
Nd: 0.666 0.666 0.339
As: 0.500 0.500 0.000
S: 0.169 0.169 0.331
S: 0.173 0.173 0.843
S: 0.500 0.500 0.500
S: 0.827 0.827 0.157
S: 0.831 0.831 0.669